For SrFeO2F, a PBE+U-relaxed structure gives the theoretical X-ray powder pattern in this record (Cu Kα (weighted mean of Kα1 and Kα2)).
No peak broadening, texture or thermal motion is included.

Cell and atoms:
```
data_SrFeO2F
_chemical_formula_sum 'Sr4 Fe4 O8 F4'
_space_group_name_H-M_alt 'C 1 2/m 1'
_space_group_IT_number 12
_space_group_name_Hall '-C 2y'
_cell_length_a 8.0590
_cell_length_b 7.8630
_cell_length_c 5.7000
_cell_angle_alpha 90.00
_cell_angle_beta 134.65
_cell_angle_gamma 90.00
loop_
_atom_site_label
_atom_site_fract_x
_atom_site_fract_y
_atom_site_fract_z
Sr1 0.2461 0.0000 0.0120
Fe1 0.2500 0.2500 0.5000
O1 0.0000 0.2684 0.5000
O2 0.1881 0.0000 0.4062
F1 0.0000 0.2999 0.0000
```

Main lines, most intense first (10 to 90 degrees two-theta):
hkl 0 2 1, 31.7°, I 1000; hkl 2 2 -1, 31.8°, I 938; hkl 2 0 -2, 31.4°, I 445; hkl 2 0 0, 31.2°, I 438; hkl 4 2 -1, 56.0°, I 396; hkl 4 0 -2, 45.0°, I 386; hkl 0 0 2, 44.7°, I 367; hkl 0 4 0, 46.2°, I 317

---

For Fe3Pb5F19, a PBE+U-relaxed structure gives the theoretical X-ray powder pattern in this record (Cu Kα (weighted mean of Kα1 and Kα2)).
No peak broadening, texture or thermal motion is included.

Cell and atoms:
```
data_Fe3Pb5F19
_chemical_formula_sum 'Fe12 Pb20 F76'
_space_group_name_H-M_alt 'I 4 c m'
_space_group_IT_number 108
_space_group_name_Hall 'I 4 -2c'
_cell_length_a 14.6355
_cell_length_b 14.6355
_cell_length_c 7.9094
_cell_angle_alpha 90.00
_cell_angle_beta 90.00
_cell_angle_gamma 90.00
loop_
_atom_site_label
_atom_site_fract_x
_atom_site_fract_y
_atom_site_fract_z
Fe1 0.0000 0.0000 0.0000
Fe2 0.1611 0.3389 0.3012
Pb1 0.0000 0.5000 0.4591
Pb2 0.0704 0.2278 0.8561
F1 0.0000 0.0000 0.2458
F2 0.0578 0.1189 0.4879
F3 0.0643 0.3077 0.4655
F4 0.0724 0.4276 0.2126
F5 0.1050 0.2480 0.1481
F6 0.1151 0.3849 0.8472
F7 0.2504 0.2496 0.3695
```

Main lines, most intense first (10 to 90 degrees two-theta):
hkl 4 1 1, 27.5°, I 1000; hkl 0 0 2, 22.5°, I 747; hkl 3 2 1, 24.7°, I 707; hkl 4 2 0, 27.3°, I 644; hkl 4 1 3, 42.7°, I 490; hkl 6 3 1, 43.0°, I 364; hkl 2 2 2, 28.4°, I 315; hkl 2 1 1, 17.6°, I 265

---

For Rb2FeF5, a PBE+U-relaxed structure gives the theoretical X-ray powder pattern in this record (Cu Kα (weighted mean of Kα1 and Kα2)).
No peak broadening, texture or thermal motion is included.

Cell and atoms:
```
data_Rb2FeF5
_chemical_formula_sum 'Rb8 Fe4 F20'
_space_group_name_H-M_alt 'P n m a'
_space_group_IT_number 62
_space_group_name_Hall '-P 2ac 2n'
_cell_length_a 7.7346
_cell_length_b 5.9148
_cell_length_c 12.2391
_cell_angle_alpha 90.00
_cell_angle_beta 90.00
_cell_angle_gamma 90.00
loop_
_atom_site_label
_atom_site_fract_x
_atom_site_fract_y
_atom_site_fract_z
Rb1 0.0131 0.2500 0.2254
Rb2 0.1536 0.7500 0.4157
Fe1 0.1617 0.7500 0.0620
F1 0.0000 0.0000 0.0000
F2 0.0179 0.7500 0.1897
F3 0.1907 0.0128 0.6151
F4 0.2242 0.2500 0.4190
```

Main lines, most intense first (10 to 90 degrees two-theta):
hkl 0 1 3, 26.5°, I 1000; hkl 0 2 0, 30.2°, I 437; hkl 2 2 2, 41.2°, I 384; hkl 2 0 2, 27.3°, I 382; hkl 0 0 6, 44.5°, I 365; hkl 2 1 0, 27.6°, I 331; hkl 2 1 1, 28.5°, I 313; hkl 2 1 2, 31.3°, I 249

---

For Rb2FeF4, a PBE+U-relaxed structure gives the theoretical X-ray powder pattern in this record (Cu Kα (weighted mean of Kα1 and Kα2)).
No peak broadening, texture or thermal motion is included.

Cell and atoms:
```
data_Rb2FeF4
_chemical_formula_sum 'Rb4 Fe2 F8'
_space_group_name_H-M_alt 'I 4/m m m'
_space_group_IT_number 139
_space_group_name_Hall '-I 4 2'
_cell_length_a 4.3134
_cell_length_b 4.3134
_cell_length_c 13.7436
_cell_angle_alpha 90.00
_cell_angle_beta 90.00
_cell_angle_gamma 90.00
loop_
_atom_site_label
_atom_site_fract_x
_atom_site_fract_y
_atom_site_fract_z
Rb1 0.0000 0.0000 0.1445
Fe1 0.0000 0.0000 0.5000
F1 0.0000 0.0000 0.3503
F2 0.0000 0.5000 0.0000
```

Main lines, most intense first (10 to 90 degrees two-theta):
hkl 1 0 3, 28.4°, I 1000; hkl 1 1 0, 29.3°, I 782; hkl 2 0 0, 41.9°, I 506; hkl 2 1 3, 51.4°, I 384; hkl 1 1 4, 39.5°, I 339; hkl 2 0 6, 58.8°, I 210; hkl 0 0 6, 39.3°, I 192; hkl 1 1 6, 49.8°, I 178

---

For RbFeF3, a PBE+U-relaxed structure gives the theoretical X-ray powder pattern in this record (Cu Kα (weighted mean of Kα1 and Kα2)).
No peak broadening, texture or thermal motion is included.

Cell and atoms:
```
data_RbFeF3
_chemical_formula_sum 'Rb1 Fe1 F3'
_space_group_name_H-M_alt 'P m -3 m'
_space_group_IT_number 221
_space_group_name_Hall '-P 4 2 3'
_cell_length_a 4.2207
_cell_length_b 4.2207
_cell_length_c 4.2207
_cell_angle_alpha 90.00
_cell_angle_beta 90.00
_cell_angle_gamma 90.00
loop_
_atom_site_label
_atom_site_fract_x
_atom_site_fract_y
_atom_site_fract_z
Rb1 0.0000 0.0000 0.0000
Fe1 0.5000 0.5000 0.5000
F1 0.0000 0.5000 0.5000
```

Main lines, most intense first (10 to 90 degrees two-theta):
hkl 1 1 0, 29.9°, I 1000; hkl 2 0 0, 42.9°, I 473; hkl 2 1 1, 53.2°, I 389; hkl 2 2 0, 62.2°, I 278; hkl 3 2 1, 86.2°, I 199; hkl 1 1 1, 36.9°, I 177; hkl 3 1 0, 70.6°, I 166; hkl 2 2 2, 78.5°, I 88

---

For SrFeF5, a PBE+U-relaxed structure gives the theoretical X-ray powder pattern in this record (Cu Kα (weighted mean of Kα1 and Kα2)).
No peak broadening, texture or thermal motion is included.

Cell and atoms:
```
data_SrFeF5
_chemical_formula_sum 'Sr8 Fe8 F40'
_space_group_name_H-M_alt 'P 1 21/c 1'
_space_group_IT_number 14
_space_group_name_Hall '-P 2ybc'
_cell_length_a 7.1584
_cell_length_b 7.4102
_cell_length_c 14.9316
_cell_angle_alpha 90.00
_cell_angle_beta 95.40
_cell_angle_gamma 90.00
loop_
_atom_site_label
_atom_site_fract_x
_atom_site_fract_y
_atom_site_fract_z
Sr1 0.0009 0.1579 0.1375
Sr2 0.3141 0.1543 0.4129
Fe1 0.1886 0.6842 0.1247
Fe2 0.4930 0.6166 0.3387
F1 0.0015 0.0077 0.6100
F2 0.0330 0.6904 0.7062
F3 0.0432 0.6781 0.5328
F4 0.2996 0.0046 0.9014
F5 0.3126 0.1594 0.2417
F6 0.3192 0.1940 0.0676
F7 0.3198 0.5544 0.2279
F8 0.3464 0.5755 0.0412
F9 0.3458 0.6708 0.8510
F10 0.3946 0.6363 0.6439
```

Main lines, most intense first (10 to 90 degrees two-theta):
hkl 0 0 4, 24.0°, I 1000; hkl 0 2 1, 24.8°, I 914; hkl 2 1 -2, 29.3°, I 692; hkl 2 3 1, 45.4°, I 497; hkl 0 2 3, 30.1°, I 370; hkl 2 1 -6, 44.2°, I 350; hkl 2 3 -3, 47.5°, I 336; hkl 2 2 5, 48.4°, I 319

---

For TlFeF3, a PBE+U-relaxed structure gives the theoretical X-ray powder pattern in this record (Cu Kα (weighted mean of Kα1 and Kα2)).
No peak broadening, texture or thermal motion is included.

Cell and atoms:
```
data_TlFeF3
_chemical_formula_sum 'Tl1 Fe1 F3'
_space_group_name_H-M_alt 'P m -3 m'
_space_group_IT_number 221
_space_group_name_Hall '-P 4 2 3'
_cell_length_a 4.2544
_cell_length_b 4.2544
_cell_length_c 4.2544
_cell_angle_alpha 90.00
_cell_angle_beta 90.00
_cell_angle_gamma 90.00
loop_
_atom_site_label
_atom_site_fract_x
_atom_site_fract_y
_atom_site_fract_z
Tl1 0.0000 0.0000 0.0000
Fe1 0.5000 0.5000 0.5000
F1 0.0000 0.5000 0.5000
```

Main lines, most intense first (10 to 90 degrees two-theta):
hkl 1 1 0, 29.7°, I 1000; hkl 2 1 1, 52.7°, I 413; hkl 2 0 0, 42.5°, I 332; hkl 1 0 0, 20.9°, I 281; hkl 1 1 1, 36.6°, I 269; hkl 3 2 1, 85.4°, I 215; hkl 2 2 0, 61.7°, I 208; hkl 3 1 0, 69.9°, I 179

---

For Tl3FeF6, a PBE+U-relaxed structure gives the theoretical X-ray powder pattern in this record (Cu Kα (weighted mean of Kα1 and Kα2)).
No peak broadening, texture or thermal motion is included.

Cell and atoms:
```
data_Tl3FeF6
_chemical_formula_sum 'Tl12 Fe4 F24'
_space_group_name_H-M_alt 'F m -3 m'
_space_group_IT_number 225
_space_group_name_Hall '-F 4 2 3'
_cell_length_a 9.2249
_cell_length_b 9.2249
_cell_length_c 9.2249
_cell_angle_alpha 90.00
_cell_angle_beta 90.00
_cell_angle_gamma 90.00
loop_
_atom_site_label
_atom_site_fract_x
_atom_site_fract_y
_atom_site_fract_z
Tl1 0.0000 0.0000 0.0000
Tl2 0.2500 0.2500 0.2500
Fe1 0.0000 0.0000 0.5000
F1 0.0000 0.0000 0.2870
```

Main lines, most intense first (10 to 90 degrees two-theta):
hkl 2 2 0, 27.3°, I 1000; hkl 4 2 2, 48.3°, I 416; hkl 4 0 0, 39.1°, I 289; hkl 6 4 2, 77.4°, I 230; hkl 6 2 0, 63.8°, I 206; hkl 4 4 0, 56.4°, I 186; hkl 3 1 1, 32.2°, I 73; hkl 1 1 1, 16.6°, I 63

---

For YFe3F15, a PBE+U-relaxed structure gives the theoretical X-ray powder pattern in this record (Cu Kα (weighted mean of Kα1 and Kα2)).
No peak broadening, texture or thermal motion is included.

Cell and atoms:
```
data_YFe3F15
_chemical_formula_sum 'Y2 Fe6 F30'
_space_group_name_H-M_alt 'P 1 21/m 1'
_space_group_IT_number 11
_space_group_name_Hall '-P 2yb'
_cell_length_a 5.8968
_cell_length_b 11.2635
_cell_length_c 9.3529
_cell_angle_alpha 90.00
_cell_angle_beta 106.91
_cell_angle_gamma 90.00
loop_
_atom_site_label
_atom_site_fract_x
_atom_site_fract_y
_atom_site_fract_z
Y1 0.0168 0.2500 0.2612
Fe1 0.4681 0.0076 0.1558
Fe2 0.5000 0.0000 0.5000
F1 0.1024 0.2500 0.5030
F2 0.1087 0.2500 0.7100
F3 0.1149 0.2500 0.0673
F4 0.2066 0.5834 0.1119
F5 0.2499 0.5928 0.4621
F6 0.2606 0.6142 0.7815
F7 0.3302 0.1038 0.3138
F8 0.3734 0.0900 0.9616
F9 0.3963 0.0777 0.6471
```

Main lines, most intense first (10 to 90 degrees two-theta):
hkl 1 2 0, 22.3°, I 1000; hkl 0 1 1, 12.6°, I 262; hkl 0 2 0, 15.7°, I 249; hkl 2 4 0, 45.5°, I 152; hkl 0 4 0, 31.8°, I 97; hkl 1 6 0, 51.3°, I 83; hkl 1 1 -1, 17.8°, I 82; hkl 0 2 3, 34.0°, I 82

---

For ZnFeF6, a PBE+U-relaxed structure gives the theoretical X-ray powder pattern in this record (Cu Kα (weighted mean of Kα1 and Kα2)).
No peak broadening, texture or thermal motion is included.

Cell and atoms:
```
data_ZnFeF6
_chemical_formula_sum 'Zn3 Fe3 F18'
_space_group_name_H-M_alt 'R -3'
_space_group_IT_number 148
_space_group_name_Hall '-R 3'
_cell_length_a 5.2909
_cell_length_b 5.2909
_cell_length_c 13.4709
_cell_angle_alpha 90.00
_cell_angle_beta 90.00
_cell_angle_gamma 120.00
loop_
_atom_site_label
_atom_site_fract_x
_atom_site_fract_y
_atom_site_fract_z
Zn1 0.0000 0.0000 0.0000
Fe1 0.0000 0.0000 0.5000
F1 0.0087 0.5910 0.2483
```

Main lines, most intense first (10 to 90 degrees two-theta):
hkl 0 1 2, 23.5°, I 1000; hkl 1 1 6, 53.5°, I 232; hkl 0 2 4, 48.0°, I 217; hkl 1 0 4, 33.0°, I 168; hkl 1 2 2, 54.7°, I 143; hkl 2 -1 3, 39.5°, I 110; hkl 1 1 0, 33.9°, I 99; hkl 2 1 4, 60.1°, I 74